1.
AlGaHgTe2S2: calculated X-ray powder pattern (a wavelength of 1.5418 Å), based on a GGA-PBE-relaxed structure.

Top 10 peaks for 10 to 90 degrees two-theta, sorted by position:
hkl 1 0 0, 2θ = 16.85°, d 5.261, intensity 76
hkl 1 -1 0, 2θ = 20.88°, d 4.253, intensity 50
hkl 1 1 -1, 2θ = 21.10°, d 4.210, intensity 50
hkl 1 1 0, 2θ = 25.86°, d 3.445, intensity 100
hkl -1 1 1, 2θ = 25.99°, d 3.429, intensity 91
hkl 1 -1 1, 2θ = 26.69°, d 3.340, intensity 70
hkl 1 1 -2, 2θ = 27.15°, d 3.284, intensity 74
hkl 2 0 -2, 2θ = 34.54°, d 2.596, intensity 46
hkl 2 -2 0, 2θ = 42.51°, d 2.127, intensity 44
hkl 2 2 -2, 2θ = 42.97°, d 2.105, intensity 44

Structure:
abc: 5.915 6.067 6.833
angles: 113.26 114.58 90.54
Space group P1 (No. 1)
Symmetry-distinct sites (fractional):
Al  0.000  0.000  0.000
Ga  0.209  0.777  0.493
Hg  0.721  0.261  0.513
Te  0.581  0.661  0.797
Te  0.829  0.387  0.201
S  0.104  0.095  0.752
S  0.316  0.883  0.246

***

2.
K3Cu2Bi5S10: calculated X-ray powder pattern (a wavelength of 1.5418 Å), based on a GGA-PBE-relaxed structure.

Top 10 peaks for 10 to 90 degrees two-theta, sorted by position:
hkl 2 0 0, 2θ = 12.34°, d 7.171, intensity 83
hkl 2 4 0, 2θ = 23.48°, d 3.789, intensity 52
hkl 4 0 0, 2θ = 24.83°, d 3.585, intensity 32
hkl 1 3 1, 2θ = 27.36°, d 3.260, intensity 75
hkl 3 1 1, 2θ = 29.34°, d 3.044, intensity 29
hkl 3 2 1, 2θ = 30.62°, d 2.919, intensity 48
hkl 2 6 0, 2θ = 32.63°, d 2.744, intensity 100
hkl 5 3 1, 2θ = 41.46°, d 2.178, intensity 26
hkl 1 7 1, 2θ = 42.36°, d 2.134, intensity 25
hkl 5 4 1, 2θ = 43.67°, d 2.073, intensity 33

Structure:
abc: 14.342 17.849 4.049
angles: 90.00 90.00 90.00
Space group Pnnm (No. 58)
Symmetry-distinct sites (fractional):
K  0.000  0.000  0.000
K  0.025  0.253  0.500
Cu  0.218  0.748  0.000
Bi  0.000  0.500  0.000
Bi  0.220  0.597  0.500
Bi  0.231  0.896  0.500
S  0.094  0.640  0.000
S  0.117  0.851  0.000
S  0.124  0.447  0.500
S  0.162  0.037  0.500
S  0.199  0.234  0.000

***

3.
CdH8C2Br3N: calculated X-ray powder pattern (a wavelength of 1.5418 Å), based on a GGA-PBE-relaxed structure.

Top 10 peaks for 10 to 90 degrees two-theta, sorted by position:
hkl 1 1 0, 2θ = 11.90°, d 7.439, intensity 100
hkl 0 2 0, 2θ = 13.07°, d 6.775, intensity 25
hkl 2 2 -1, 2θ = 25.71°, d 3.465, intensity 15
hkl 2 2 1, 2θ = 28.57°, d 3.124, intensity 24
hkl 0 4 1, 2θ = 29.31°, d 3.047, intensity 19
hkl 1 3 -2, 2θ = 32.84°, d 2.727, intensity 13
hkl 1 3 2, 2θ = 35.18°, d 2.551, intensity 10
hkl 0 4 2, 2θ = 37.00°, d 2.430, intensity 18
hkl 2 2 2, 2θ = 37.50°, d 2.398, intensity 11
hkl 2 6 0, 2θ = 45.01°, d 2.014, intensity 14

Structure:
abc: 9.001 13.550 7.046
angles: 90.00 98.54 90.00
Space group P2_1/c (No. 14)
Symmetry-distinct sites (fractional):
Cd  0.213  0.246  0.014
H  0.115  0.537  0.426
H  0.128  0.572  0.088
H  0.165  0.662  0.380
H  0.244  0.019  0.681
H  0.308  0.576  0.478
H  0.339  0.689  0.134
H  0.354  0.591  0.966
H  0.458  0.585  0.204
C  0.202  0.585  0.382
C  0.353  0.609  0.117
Br  0.005  0.663  0.792
Br  0.209  0.093  0.270
Br  0.418  0.158  0.804
N  0.225  0.557  0.184

***

4.
BiAu17: calculated X-ray powder pattern (a wavelength of 1.5418 Å), based on a GGA-PBE-relaxed structure.

Top 10 peaks for 10 to 90 degrees two-theta, sorted by position:
hkl 0 0 14, 2θ = 36.98°, d 2.431, intensity 100
hkl 1 2 5, 2θ = 37.85°, d 2.377, intensity 94
hkl 1 2 -9, 2θ = 42.86°, d 2.110, intensity 44
hkl 2 0 9, 2θ = 43.09°, d 2.099, intensity 22
hkl 1 2 -10, 2θ = 44.47°, d 2.037, intensity 24
hkl 2 0 10, 2θ = 44.71°, d 2.027, intensity 12
hkl 0 4 0, 2θ = 63.40°, d 1.467, intensity 12
hkl 3 2 0, 2θ = 63.62°, d 1.462, intensity 36
hkl 1 2 -23, 2θ = 74.09°, d 1.280, intensity 12
hkl 3 2 -14, 2θ = 75.75°, d 1.256, intensity 15

Structure:
abc: 5.063 5.870 34.037
angles: 90.00 90.24 90.00
Space group P2_1/m (No. 11)
Symmetry-distinct sites (fractional):
Bi  0.163  0.250  0.303
Au  0.000  0.000  0.000
Au  0.001  0.005  0.213
Au  0.164  0.250  0.858
Au  0.164  0.750  0.284
Au  0.167  0.250  0.071
Au  0.167  0.750  0.071
Au  0.168  0.750  0.858
Au  0.332  0.001  0.929
Au  0.334  0.001  0.142
Au  0.337  0.006  0.716
Au  0.494  0.250  0.214
Au  0.500  0.250  0.000
Au  0.500  0.250  0.788

***

5.
K3AuO2: calculated X-ray powder pattern (a wavelength of 1.5418 Å), based on a GGA-PBE-relaxed structure.

Top 10 peaks for 10 to 90 degrees two-theta, sorted by position:
hkl 1 0 1, 2θ = 19.09°, d 4.649, intensity 91
hkl 1 1 0, 2θ = 19.95°, d 4.450, intensity 39
hkl 0 0 2, 2θ = 25.83°, d 3.449, intensity 16
hkl 2 0 0, 2θ = 28.36°, d 3.147, intensity 59
hkl 1 1 2, 2θ = 32.85°, d 2.726, intensity 100
hkl 2 1 1, 2θ = 34.41°, d 2.606, intensity 40
hkl 2 2 0, 2θ = 40.54°, d 2.225, intensity 33
hkl 0 0 4, 2θ = 53.13°, d 1.724, intensity 55
hkl 2 2 4, 2θ = 68.89°, d 1.363, intensity 24
hkl 4 0 4, 2θ = 83.11°, d 1.162, intensity 21

Structure:
abc: 6.294 6.294 6.898
angles: 90.00 90.00 90.00
Space group P4_2/mnm (No. 136)
Symmetry-distinct sites (fractional):
K  0.000  0.000  0.000
K  0.000  0.500  0.250
Au  0.000  0.000  0.500
O  0.226  0.226  0.500

***

6.
HfBiNO2: calculated X-ray powder pattern (a wavelength of 1.5418 Å), based on a GGA-PBE-relaxed structure.

Top 10 peaks for 10 to 90 degrees two-theta, sorted by position:
hkl 1 1 0, 2θ = 21.51°, d 4.132, intensity 27
hkl 2 0 0, 2θ = 29.70°, d 3.008, intensity 39
hkl 1 1 -1, 2θ = 29.99°, d 2.979, intensity 89
hkl 1 1 1, 2θ = 30.14°, d 2.965, intensity 100
hkl 0 2 0, 2θ = 31.47°, d 2.842, intensity 45
hkl 0 0 2, 2θ = 42.25°, d 2.139, intensity 26
hkl 2 2 0, 2θ = 43.82°, d 2.066, intensity 32
hkl 0 2 2, 2θ = 53.62°, d 1.709, intensity 21
hkl 1 3 1, 2θ = 55.17°, d 1.665, intensity 38
hkl 0 4 0, 2θ = 65.68°, d 1.422, intensity 24

Structure:
abc: 6.017 5.685 4.279
angles: 90.00 90.40 90.00
Space group Cm (No. 8)
Symmetry-distinct sites (fractional):
Hf  0.000  0.000  0.000
Bi  0.408  0.000  0.533
N  0.050  0.000  0.488
O  0.293  0.227  0.969

***

7.
Cu5Ag4: calculated X-ray powder pattern (a wavelength of 1.5418 Å), based on a GGA-PBE-relaxed structure.

Top 10 peaks for 10 to 90 degrees two-theta, sorted by position:
hkl 2 0 3, 2θ = 39.87°, d 2.261, intensity 51
hkl 4 0 -3, 2θ = 40.02°, d 2.253, intensity 49
hkl 3 1 0, 2θ = 40.84°, d 2.209, intensity 100
hkl 1 1 -3, 2θ = 45.09°, d 2.011, intensity 73
hkl 6 0 0, 2θ = 50.64°, d 1.803, intensity 23
hkl 5 1 3, 2θ = 70.00°, d 1.344, intensity 16
hkl 7 1 -3, 2θ = 70.21°, d 1.341, intensity 15
hkl 1 1 6, 2θ = 79.02°, d 1.212, intensity 12
hkl 2 2 3, 2θ = 80.88°, d 1.188, intensity 23
hkl 6 2 0, 2θ = 88.53°, d 1.104, intensity 16

Structure:
abc: 11.186 2.796 8.682
angles: 90.00 104.78 90.00
Space group C2/m (No. 12)
Symmetry-distinct sites (fractional):
Cu  0.000  0.000  0.000
Cu  0.164  0.500  0.910
Cu  0.168  0.500  0.539
Ag  0.014  0.000  0.673
Ag  0.179  0.500  0.223

***

8.
Dy3Mg3AlTlCd: calculated X-ray powder pattern (a wavelength of 1.5418 Å), based on a GGA-PBE-relaxed structure.

Top 10 peaks for 10 to 90 degrees two-theta, sorted by position:
hkl 1 0 0, 2θ = 13.65°, d 6.486, intensity 28
hkl 1 1 0, 2θ = 23.77°, d 3.744, intensity 40
hkl 2 0 0, 2θ = 27.50°, d 3.243, intensity 30
hkl 1 1 1, 2θ = 30.84°, d 2.900, intensity 57
hkl 2 0 1, 2θ = 33.86°, d 2.647, intensity 100
hkl 1 2 0, 2θ = 36.66°, d 2.452, intensity 23
hkl 3 0 0, 2θ = 41.79°, d 2.162, intensity 39
hkl 2 2 0, 2θ = 48.64°, d 1.872, intensity 23
hkl 3 1 1, 2θ = 54.83°, d 1.674, intensity 38
hkl 1 3 2, 2θ = 66.02°, d 1.415, intensity 42

Structure:
abc: 7.4898 7.4898 4.5821
angles: 90.00 90.00 120.00
Space group P-6 (No. 174)
Symmetry-distinct sites (fractional):
Dy  0.0088  0.5765  0.0000
Mg  0.0057  0.2460  0.5000
Al  0.3333  0.6667  0.5000
Tl  0.6667  0.3333  0.5000
Cd  0.0000  0.0000  0.0000